# Ho2HPb2
Calculated powder diffractogram, Cu Kα. Input: the GGA-PBE geometry in Alexandria.
Kinematic intensities with the Lorentz-polarization factor, no thermal factor.

Peak list (10 most intense, 10 to 90 degrees two-theta, sorted by position)
| d [Å] | 2theta | I_rel |
| --- | --- | --- |
| 3.574 | 24.91 | 42 |
| 3.047 | 29.31 | 74 |
| 2.900 | 30.84 | 43 |
| 2.872 | 31.15 | 100 |
| 2.778 | 32.22 | 60 |
| 2.691 | 33.30 | 72 |
| 2.506 | 35.83 | 52 |
| 2.485 | 36.14 | 45 |
| 2.251 | 40.05 | 53 |
| 1.872 | 48.63 | 31 |

Structure:
Lattice parameters (Å, degrees): 8.081 8.081 8.591 90.00 90.00 153.21
Atoms (fractional coordinates):
1 Ho 0.034 0.966 0.500
2 Ho 0.355 0.645 0.353
3 Ho 0.645 0.355 0.853
4 Ho 0.966 0.034 0.000
5 H 0.082 0.918 0.866
6 H 0.918 0.082 0.366
7 Pb 0.292 0.708 0.000
8 Pb 0.422 0.578 0.711
9 Pb 0.578 0.422 0.211
10 Pb 0.708 0.292 0.500